Diffraction record for Dy2IrRh. The XRD peak list is computed, not measured: it uses a crystal structure in Alexandria, relaxed with GGA-PBE and copper Kα.
Lines closer than 0.1° are merged.

The 10 most intense peaks (15 to 90 degrees two-theta), sorted by position:
2θ 29.4, d = 3.039 Å, I 3.0, hkl 1 0 1
2θ 36.8, d = 2.445 Å, I 100.0, hkl 1 0 2
2θ 37.9, d = 2.375 Å, I 46.4, hkl 1 1 0
2θ 51.2, d = 1.783 Å, I 9.7, hkl 0 0 4
2θ 54.7, d = 1.679 Å, I 16.5, hkl 2 0 0
2θ 65.4, d = 1.426 Å, I 18.7, hkl 1 1 4
2θ 67.7, d = 1.384 Å, I 33.7, hkl 2 1 2
2θ 78.2, d = 1.223 Å, I 11.5, hkl 2 0 4
2θ 81.0, d = 1.187 Å, I 5.2, hkl 2 2 0
2θ 86.9, d = 1.121 Å, I 8.8, hkl 1 0 6

Structural model:
```
data_Dy2IrRh
_chemical_formula_sum 'Dy2 Ir1 Rh1'
_cell_length_a 3.359
_cell_length_b 3.359
_cell_length_c 7.134
_cell_angle_alpha 90.00
_cell_angle_beta 90.00
_cell_angle_gamma 90.00
_space_group_name_H-M_alt 'P 1'
_space_group_IT_number 1
loop_
_space_group_symop_operation_xyz
'x,y,z'
loop_
_atom_site_label
_atom_site_type_symbol
_atom_site_fract_x
_atom_site_fract_y
_atom_site_fract_z
Dy1 Dy 0.000 0.000 0.249
Dy2 Dy 0.000 0.000 0.751
Ir1 Ir 0.500 0.500 0.000
Rh1 Rh 0.500 0.500 0.500
```